Entry 1:
BeFe2Sn: calculated PXRD pattern (Cu Kα, 1.54184 Å), based on a PBE-relaxed structure.

The 9 most intense peaks (2θ from 10° to 80°), low angle first:
2θ = 26.23°, I = 28; 2θ = 30.38°, I = 29; 2θ = 43.50°, I = 100; 2θ = 51.50°, I = 14; 2θ = 53.98°, I = 8; 2θ = 63.20°, I = 16; 2θ = 69.64°, I = 6; 2θ = 71.73°, I = 11; 2θ = 79.85°, I = 33

Structural model:
```
data_BeFe2Sn
_cell_length_a 5.885
_cell_length_b 5.885
_cell_length_c 5.885
_cell_angle_alpha 90.00
_cell_angle_beta 90.00
_cell_angle_gamma 90.00
_symmetry_space_group_name_H-M 'P 1'
_symmetry_Int_Tables_number 1
_symmetry_space_group_name_Hall 'P 1'
loop_
_atom_site_label
_atom_site_type_symbol
_atom_site_fract_x
_atom_site_fract_y
_atom_site_fract_z
Be1 Be 0.000 0.000 0.000
Be2 Be 0.000 0.500 0.500
Be3 Be 0.500 0.000 0.500
Be4 Be 0.500 0.500 0.000
Fe1 Fe 0.000 0.000 0.500
Fe2 Fe 0.000 0.500 0.000
Fe3 Fe 0.250 0.250 0.750
Fe4 Fe 0.250 0.750 0.250
Fe5 Fe 0.500 0.000 0.000
Fe6 Fe 0.500 0.500 0.500
Fe7 Fe 0.750 0.250 0.250
Fe8 Fe 0.750 0.750 0.750
Sn1 Sn 0.250 0.250 0.250
Sn2 Sn 0.250 0.750 0.750
Sn3 Sn 0.750 0.250 0.750
Sn4 Sn 0.750 0.750 0.250
```

---

Entry 2:
ZrTe4Br4Cl2: calculated PXRD pattern (Cu Kα, 1.54184 Å), based on a PBE-relaxed structure.

The 10 most intense peaks (2θ from 10° to 80°), low angle first:
2θ = 13.60°, I = 24; 2θ = 14.33°, I = 21; 2θ = 14.47°, I = 21; 2θ = 15.75°, I = 100; 2θ = 20.89°, I = 32; 2θ = 26.46°, I = 46; 2θ = 30.54°, I = 41; 2θ = 32.70°, I = 37; 2θ = 34.44°, I = 30; 2θ = 39.41°, I = 20

Structural model:
```
data_ZrTe4Br4Cl2
_cell_length_a 7.987
_cell_length_b 8.165
_cell_length_c 8.660
_cell_angle_alpha 62.91
_cell_angle_beta 68.65
_cell_angle_gamma 60.91
_symmetry_space_group_name_H-M 'P 1'
_symmetry_Int_Tables_number 1
_symmetry_space_group_name_Hall 'P 1'
loop_
_atom_site_label
_atom_site_type_symbol
_atom_site_fract_x
_atom_site_fract_y
_atom_site_fract_z
Zr1 Zr 0.000 0.000 0.000
Te1 Te 0.311 0.420 0.701
Te2 Te 0.374 0.765 0.510
Te3 Te 0.626 0.235 0.490
Te4 Te 0.689 0.580 0.299
Br1 Br 0.033 0.158 0.196
Br2 Br 0.369 0.950 0.836
Br3 Br 0.631 0.050 0.164
Br4 Br 0.967 0.842 0.804
Cl1 Cl 0.119 0.666 0.215
Cl2 Cl 0.881 0.334 0.785
```

---

Entry 3:
Zn6CuAg: calculated PXRD pattern (Cu Kα, 1.54184 Å), based on a PBE-relaxed structure.

The 10 most intense peaks (2θ from 10° to 80°), low angle first:
2θ = 37.45°, I = 12; 2θ = 37.79°, I = 26; 2θ = 41.65°, I = 38; 2θ = 43.06°, I = 53; 2θ = 43.36°, I = 100; 2θ = 57.50°, I = 15; 2θ = 67.79°, I = 16; 2θ = 68.47°, I = 8; 2θ = 77.00°, I = 9; 2θ = 77.21°, I = 16

Structural model:
```
data_Zn6CuAg
_cell_length_a 4.337
_cell_length_b 5.481
_cell_length_c 4.803
_cell_angle_alpha 90.00
_cell_angle_beta 90.00
_cell_angle_gamma 90.00
_symmetry_space_group_name_H-M 'P 1'
_symmetry_Int_Tables_number 1
_symmetry_space_group_name_Hall 'P 1'
loop_
_atom_site_label
_atom_site_type_symbol
_atom_site_fract_x
_atom_site_fract_y
_atom_site_fract_z
Zn1 Zn 0.000 0.000 0.000
Zn2 Zn 0.000 0.242 0.519
Zn3 Zn 0.000 0.758 0.519
Zn4 Zn 0.500 0.238 0.189
Zn5 Zn 0.500 0.500 0.673
Zn6 Zn 0.500 0.762 0.189
Cu1 Cu 0.500 0.000 0.687
Ag1 Ag 0.000 0.500 0.020
```

---

Entry 4:
Rb2Zn5Sb4: calculated PXRD pattern (Cu Kα, 1.54184 Å), based on a PBE-relaxed structure.

The 10 most intense peaks (2θ from 10° to 80°), low angle first:
2θ = 14.14°, I = 41; 2θ = 25.31°, I = 64; 2θ = 27.28°, I = 39; 2θ = 28.21°, I = 43; 2θ = 28.50°, I = 24; 2θ = 30.85°, I = 72; 2θ = 31.94°, I = 100; 2θ = 35.87°, I = 19; 2θ = 42.08°, I = 79; 2θ = 47.41°, I = 47

Structural model:
```
data_Rb2Zn5Sb4
_cell_length_a 7.336
_cell_length_b 7.336
_cell_length_c 12.546
_cell_angle_alpha 90.00
_cell_angle_beta 90.00
_cell_angle_gamma 63.00
_symmetry_space_group_name_H-M 'P 1'
_symmetry_Int_Tables_number 1
_symmetry_space_group_name_Hall 'P 1'
loop_
_atom_site_label
_atom_site_type_symbol
_atom_site_fract_x
_atom_site_fract_y
_atom_site_fract_z
Rb1 Rb 0.223 0.223 0.000
Rb2 Rb 0.223 0.223 0.500
Rb3 Rb 0.777 0.777 0.000
Rb4 Rb 0.777 0.777 0.500
Zn1 Zn 0.005 0.995 0.750
Zn2 Zn 0.254 0.464 0.750
Zn3 Zn 0.344 0.656 0.110
Zn4 Zn 0.344 0.656 0.390
Zn5 Zn 0.464 0.254 0.250
Zn6 Zn 0.536 0.746 0.750
Zn7 Zn 0.656 0.344 0.610
Zn8 Zn 0.656 0.344 0.890
Zn9 Zn 0.746 0.536 0.250
Zn10 Zn 0.995 0.005 0.250
Sb1 Sb 0.081 0.600 0.250
Sb2 Sb 0.277 0.723 0.600
Sb3 Sb 0.277 0.723 0.900
Sb4 Sb 0.400 0.919 0.250
Sb5 Sb 0.600 0.081 0.750
Sb6 Sb 0.723 0.277 0.100
Sb7 Sb 0.723 0.277 0.400
Sb8 Sb 0.919 0.400 0.750
```

---

Entry 5:
LaUN2: calculated PXRD pattern (Cu Kα, 1.54184 Å), based on a PBE-relaxed structure.

The 10 most intense peaks (2θ from 10° to 80°), low angle first:
2θ = 15.08°, I = 15; 2θ = 30.43°, I = 36; 2θ = 30.94°, I = 100; 2θ = 35.73°, I = 91; 2θ = 51.09°, I = 32; 2θ = 51.75°, I = 32; 2θ = 60.63°, I = 17; 2θ = 61.23°, I = 32; 2θ = 61.53°, I = 15; 2θ = 64.48°, I = 16

Structural model:
```
data_LaUN2
_cell_length_a 3.533
_cell_length_b 3.533
_cell_length_c 17.626
_cell_angle_alpha 90.00
_cell_angle_beta 90.00
_cell_angle_gamma 120.00
_symmetry_space_group_name_H-M 'P 1'
_symmetry_Int_Tables_number 1
_symmetry_space_group_name_Hall 'P 1'
loop_
_atom_site_label
_atom_site_type_symbol
_atom_site_fract_x
_atom_site_fract_y
_atom_site_fract_z
La1 La 0.000 0.000 0.000
La2 La 0.333 0.667 0.667
La3 La 0.667 0.333 0.333
U1 U 0.000 0.000 0.500
U2 U 0.333 0.667 0.167
U3 U 0.667 0.333 0.833
N1 N 0.000 0.000 0.232
N2 N 0.000 0.000 0.768
N3 N 0.333 0.667 0.434
N4 N 0.333 0.667 0.899
N5 N 0.667 0.333 0.101
N6 N 0.667 0.333 0.566
```

---

Copy entry 2 word for word.
ZrTe4Br4Cl2: calculated PXRD pattern (Cu Kα, 1.54184 Å), based on a PBE-relaxed structure.

The 10 most intense peaks (2θ from 10° to 80°), low angle first:
2θ = 13.60°, I = 24; 2θ = 14.33°, I = 21; 2θ = 14.47°, I = 21; 2θ = 15.75°, I = 100; 2θ = 20.89°, I = 32; 2θ = 26.46°, I = 46; 2θ = 30.54°, I = 41; 2θ = 32.70°, I = 37; 2θ = 34.44°, I = 30; 2θ = 39.41°, I = 20

Structural model:
```
data_ZrTe4Br4Cl2
_cell_length_a 7.987
_cell_length_b 8.165
_cell_length_c 8.660
_cell_angle_alpha 62.91
_cell_angle_beta 68.65
_cell_angle_gamma 60.91
_symmetry_space_group_name_H-M 'P 1'
_symmetry_Int_Tables_number 1
_symmetry_space_group_name_Hall 'P 1'
loop_
_atom_site_label
_atom_site_type_symbol
_atom_site_fract_x
_atom_site_fract_y
_atom_site_fract_z
Zr1 Zr 0.000 0.000 0.000
Te1 Te 0.311 0.420 0.701
Te2 Te 0.374 0.765 0.510
Te3 Te 0.626 0.235 0.490
Te4 Te 0.689 0.580 0.299
Br1 Br 0.033 0.158 0.196
Br2 Br 0.369 0.950 0.836
Br3 Br 0.631 0.050 0.164
Br4 Br 0.967 0.842 0.804
Cl1 Cl 0.119 0.666 0.215
Cl2 Cl 0.881 0.334 0.785
```